No. 1
# Li5V5O12
Calculated powder diffractogram, λ = 1.5418 Å (Cu Kα). Input: a structure optimized by DFT (PBE+U).
Intensities are scaled so that the largest is 100.

Structure:
```
Li5V5O12
1.0
5.057 0.000 0.000
0.809 9.166 0.000
0.618 0.854 9.404
Li V O
10 10 24
Direct
0.000 0.000 0.000
0.007 0.643 0.020
0.101 0.771 0.263
0.341 0.029 0.772
0.370 0.674 0.777
0.446 0.466 0.040
0.511 0.135 0.018
0.594 0.280 0.273
0.648 0.941 0.259
0.851 0.523 0.780
0.120 0.114 0.267
0.218 0.566 0.514
0.268 0.886 0.517
0.385 0.343 0.789
0.472 0.816 0.026
0.646 0.594 0.259
0.733 0.061 0.523
0.758 0.379 0.533
0.864 0.847 0.779
0.979 0.309 0.021
0.038 0.997 0.646
0.050 0.400 0.633
0.086 0.716 0.641
0.157 0.474 0.906
0.171 0.829 0.897
0.197 0.188 0.888
0.279 0.261 0.166
0.314 0.959 0.135
0.343 0.646 0.134
0.398 0.729 0.407
0.420 0.049 0.403
0.483 0.444 0.399
0.512 0.510 0.652
0.563 0.891 0.638
0.576 0.226 0.637
0.656 0.339 0.899
0.669 0.970 0.901
0.689 0.693 0.884
0.771 0.769 0.159
0.784 0.458 0.149
0.828 0.139 0.140
0.892 0.227 0.405
0.937 0.569 0.403
0.969 0.941 0.380
```

The 6 most intense peaks (10 to 90 degrees two-theta), sorted by position:
d (Å)  2theta  intensity
4.267  20.82  100
3.167  28.18  27
3.146  28.37  27
2.239  40.28  40
2.019  44.90  33
2.007  45.19  32

---

No. 2
# Li2VPO6
Calculated powder diffractogram, λ = 1.5418 Å (Cu Kα). Input: a structure optimized by DFT (PBE+U).
Intensities are scaled so that the largest is 100.

Structure:
```
Li2VPO6
1.0
10.506 0.000 0.000
0.000 4.702 0.000
0.000 0.000 8.651
Li V P O
8 4 4 24
Direct
0.087 0.022 0.000
0.134 0.534 0.297
0.366 0.034 0.797
0.413 0.522 0.500
0.587 0.478 0.000
0.634 0.966 0.297
0.866 0.466 0.797
0.913 0.978 0.500
0.111 0.483 0.679
0.389 0.983 0.179
0.611 0.017 0.679
0.889 0.517 0.179
0.218 0.085 0.482
0.282 0.585 0.982
0.718 0.415 0.482
0.782 0.915 0.982
0.011 0.297 0.149
0.049 0.255 0.806
0.084 0.235 0.489
0.213 0.739 0.118
0.215 0.761 0.491
0.220 0.688 0.826
0.280 0.188 0.326
0.285 0.261 0.991
0.287 0.239 0.618
0.416 0.735 0.989
0.451 0.755 0.306
0.489 0.797 0.649
0.511 0.203 0.149
0.549 0.245 0.806
0.584 0.265 0.489
0.713 0.761 0.118
0.715 0.739 0.491
0.720 0.812 0.826
0.780 0.312 0.326
0.785 0.239 0.991
0.787 0.261 0.618
0.916 0.765 0.989
0.951 0.745 0.306
0.989 0.703 0.649
```

The 6 most intense peaks (10 to 90 degrees two-theta), sorted by position:
d (Å)  2theta  intensity
4.490  19.77  100
4.292  20.69  35
3.845  23.13  51
3.339  26.70  32
3.047  29.31  56
2.671  33.55  44

---

No. 3
# Sr2CoO4
Calculated powder diffractogram, λ = 1.5418 Å (Cu Kα). Input: a structure optimized by DFT (PBE+U).
Intensities are scaled so that the largest is 100.

Structure:
```
Sr2CoO4
1.0
6.495 -1.964 0.000
6.495 1.964 0.000
-2.329 0.000 7.418
Sr Co O
4 2 8
Direct
0.141 0.141 0.316
0.141 0.141 0.825
0.859 0.859 0.175
0.859 0.859 0.684
0.500 0.500 0.000
0.500 0.500 0.500
0.000 0.000 0.000
0.000 0.000 0.500
0.340 0.340 0.919
0.347 0.347 0.425
0.500 0.500 0.234
0.500 0.500 0.766
0.653 0.653 0.575
0.660 0.660 0.081
```

The 6 most intense peaks (10 to 90 degrees two-theta), sorted by position:
d (Å)  2theta  intensity
2.846  31.43  65
2.831  31.60  64
2.763  32.41  100
2.063  43.88  53
1.964  46.23  28
1.613  57.09  27

---

No. 4
# KLiEr2Mo4O16
Calculated powder diffractogram, λ = 1.5418 Å (Cu Kα). Input: a structure optimized by DFT (PBE+U).
Intensities are scaled so that the largest is 100.

Structure:
```
KLiEr2Mo4O16
1.0
2.623 -6.343 0.000
2.623 6.343 0.000
-1.105 0.000 19.544
K Li Er Mo O
2 2 4 8 32
Direct
0.031 0.969 0.750
0.969 0.031 0.250
0.313 0.687 0.750
0.687 0.313 0.250
0.146 0.852 0.532
0.148 0.854 0.968
0.852 0.146 0.032
0.854 0.148 0.468
0.247 0.731 0.353
0.269 0.753 0.147
0.418 0.543 0.908
0.457 0.582 0.592
0.543 0.418 0.408
0.582 0.457 0.092
0.731 0.247 0.853
0.753 0.269 0.647
0.008 0.731 0.173
0.060 0.581 0.434
0.066 0.471 0.286
0.098 0.399 0.131
0.164 0.504 0.958
0.219 0.259 0.537
0.219 0.314 0.399
0.259 0.219 0.037
0.269 0.992 0.327
0.299 0.480 0.670
0.314 0.219 0.899
0.399 0.098 0.631
0.419 0.940 0.066
0.471 0.066 0.786
0.480 0.299 0.170
0.496 0.836 0.542
0.504 0.164 0.458
0.520 0.701 0.830
0.529 0.934 0.214
0.581 0.060 0.934
0.601 0.902 0.369
0.686 0.781 0.101
0.701 0.520 0.330
0.731 0.008 0.673
0.741 0.781 0.963
0.781 0.686 0.601
0.781 0.741 0.463
0.836 0.496 0.042
0.902 0.601 0.869
0.934 0.529 0.714
0.940 0.419 0.566
0.992 0.269 0.827
```

The 6 most intense peaks (10 to 90 degrees two-theta), sorted by position:
d (Å)  2theta  intensity
3.353  26.59  51
3.226  27.65  52
3.152  28.31  49
3.123  28.58  100
2.966  30.13  65
2.897  30.87  60

---

No. 5
# Sr2CoSbO6
Calculated powder diffractogram, λ = 1.5418 Å (Cu Kα). Input: a structure optimized by DFT (PBE+U).
Intensities are scaled so that the largest is 100.

Structure:
```
Sr2CoSbO6
1.0
5.630 0.000 0.000
0.000 8.100 0.000
-0.215 0.000 11.237
Sr Co Sb O
8 4 4 24
Direct
0.000 0.249 0.000
0.000 0.751 0.000
0.491 0.250 0.750
0.491 0.750 0.750
0.495 0.251 0.250
0.495 0.749 0.250
0.986 0.250 0.500
0.986 0.750 0.500
0.489 0.500 0.500
0.497 0.500 0.000
0.992 0.000 0.750
0.994 0.000 0.250
0.485 0.000 0.500
0.501 0.000 0.000
0.990 0.500 0.750
0.996 0.500 0.250
0.224 0.000 0.375
0.225 0.000 0.623
0.235 0.500 0.627
0.246 0.500 0.128
0.246 0.500 0.881
0.254 0.500 0.377
0.257 0.000 0.872
0.259 0.000 0.126
0.480 0.245 0.499
0.480 0.755 0.499
0.507 0.245 0.999
0.507 0.755 0.999
0.728 0.000 0.374
0.729 0.000 0.628
0.731 0.500 0.622
0.741 0.500 0.871
0.742 0.500 0.121
0.750 0.500 0.374
0.762 0.000 0.877
0.763 0.000 0.125
0.991 0.255 0.751
0.991 0.745 0.751
0.996 0.255 0.251
0.996 0.745 0.251
```

The 6 most intense peaks (10 to 90 degrees two-theta), sorted by position:
d (Å)  2theta  intensity
2.851  31.37  100
2.824  31.69  97
2.812  31.82  96
2.025  44.75  35
1.643  55.96  39
1.636  56.22  38